No. 1
This entry pairs a crystal structure of MnOF with its computed powder X-ray diffraction pattern. Radiation: CuKα. Structure: a crystal structure in the Materials Project, relaxed with PBE+U.
Intensities are scaled so that the largest is 100.

abc: 5.6563 6.9358 7.0828
angles: 93.48 91.92 90.99
Space group P1 (No. 1)
Symmetry-distinct sites (fractional):
Mn 0.0000 0.0000 0.0000 [1 per cell]
Mn 0.0189 0.5035 0.5078 [1 per cell]
Mn 0.2825 0.7554 0.2701 [1 per cell]
Mn 0.3445 0.2528 0.7641 [1 per cell]
Mn 0.3873 0.2527 0.2645 [1 per cell]
Mn 0.4456 0.7468 0.7752 [1 per cell]
Mn 0.7372 0.0015 0.5068 [1 per cell]
Mn 0.8084 0.5005 0.0223 [1 per cell]
O 0.0566 0.5318 0.2429 [1 per cell]
O 0.2268 0.8017 0.0028 [1 per cell]
O 0.2501 0.1948 0.0155 [1 per cell]
O 0.2545 0.6994 0.5378 [1 per cell]
O 0.2608 0.3103 0.5093 [1 per cell]
O 0.4847 0.9912 0.3151 [1 per cell]
O 0.5104 0.0094 0.7043 [1 per cell]
O 0.5112 0.4888 0.8363 [1 per cell]
F 0.0122 0.4657 0.7826 [1 per cell]
F 0.5347 0.5179 0.2228 [1 per cell]
F 0.7443 0.7973 0.9697 [1 per cell]
F 0.7668 0.2035 0.0413 [1 per cell]
F 0.7703 0.3015 0.4674 [1 per cell]
F 0.7713 0.7002 0.5440 [1 per cell]
F 0.9781 0.9668 0.3053 [1 per cell]
F 0.9932 0.0423 0.7061 [1 per cell]

Largest 8 diffraction maxima, by angle, 2θ = 15–90°:
| hkl | 2theta | I/Imax |
| --- | --- | --- |
| -1 1 1 | 23.9 | 76 |
| 1 1 1 | 24.8 | 68 |
| 1 0 -2 | 29.3 | 100 |
| 1 -2 0 | 30.0 | 87 |
| 1 0 2 | 30.3 | 90 |
| 1 2 0 | 30.5 | 85 |
| 0 0 4 | 51.8 | 73 |
| 0 4 0 | 52.9 | 56 |

No. 2
This entry pairs a crystal structure of Tl2Mo3SeO12 with its computed powder X-ray diffraction pattern. Radiation: CuKα. Structure: a crystal structure in the Materials Project, relaxed with PBE+U.
Intensities are scaled so that the largest is 100.

abc: 7.3787 7.3787 12.1888
angles: 90.00 90.00 120.00
Space group P31c (No. 159)
Symmetry-distinct sites (fractional):
Tl 0.3333 0.6667 0.0000 [2 per cell]
Tl 0.3333 0.6667 0.3916 [2 per cell]
Mo 0.1402 0.3395 0.6673 [6 per cell]
Se 0.0000 0.0000 0.4344 [2 per cell]
O 0.0867 0.5474 0.6186 [6 per cell]
O 0.1209 0.8735 0.4947 [6 per cell]
O 0.1215 0.8709 0.1809 [6 per cell]
O 0.2015 0.4083 0.8046 [6 per cell]

Largest 8 diffraction maxima, by angle, 2θ = 15–90°:
| hkl | 2theta | I/Imax |
| --- | --- | --- |
| 1 1 0 | 24.1 | 37 |
| 1 0 3 | 26.0 | 60 |
| 2 -1 2 | 28.3 | 100 |
| 2 0 1 | 28.9 | 49 |
| 2 1 3 | 43.6 | 26 |
| 3 0 2 | 45.1 | 26 |
| 2 0 5 | 46.9 | 27 |
| 2 2 0 | 49.4 | 27 |

No. 3
This entry pairs a crystal structure of Li4V3Ni3Te2O16 with its computed powder X-ray diffraction pattern. Radiation: CuKα. Structure: a crystal structure in the Materials Project, relaxed with PBE+U.
Intensities are scaled so that the largest is 100.

abc: 10.4058 5.8020 10.2849
angles: 90.00 90.48 90.00
Space group Cm (No. 8)
Symmetry-distinct sites (fractional):
Li 0.0000 0.0000 0.0000 [2 per cell]
Li 0.0037 0.0000 0.5073 [2 per cell]
Li 0.1701 0.5000 0.4195 [2 per cell]
Li 0.3465 0.0000 0.9154 [2 per cell]
V 0.3220 0.5000 0.7474 [2 per cell]
V 0.4074 0.2403 0.2343 [4 per cell]
Ni 0.0925 0.2565 0.7299 [4 per cell]
Ni 0.1748 0.0000 0.2202 [2 per cell]
Te 0.1539 0.5000 0.0105 [2 per cell]
Te 0.3374 0.0000 0.5293 [2 per cell]
O 0.0031 0.0000 0.3175 [2 per cell]
O 0.0247 0.5000 0.8634 [2 per cell]
O 0.0762 0.2453 0.1090 [4 per cell]
O 0.1668 0.0000 0.6122 [2 per cell]
O 0.1917 0.5000 0.6212 [2 per cell]
O 0.2610 0.2720 0.8444 [4 per cell]
O 0.2704 0.2498 0.3305 [4 per cell]
O 0.3484 0.0000 0.1150 [2 per cell]
O 0.3581 0.5000 0.1242 [2 per cell]
O 0.4220 0.2534 0.6167 [4 per cell]
O 0.4917 0.5000 0.8129 [2 per cell]
O 0.4936 0.0000 0.3364 [2 per cell]

Largest 8 diffraction maxima, by angle, 2θ = 15–90°:
| hkl | 2theta | I/Imax |
| --- | --- | --- |
| 0 0 2 | 17.2 | 32 |
| 2 0 1 | 19.2 | 32 |
| 1 1 -1 | 19.5 | 100 |
| 1 1 2 | 24.7 | 33 |
| 1 1 -3 | 31.4 | 36 |
| 3 1 -2 | 34.7 | 33 |
| 3 1 2 | 34.9 | 46 |
| 2 2 -1 | 36.5 | 45 |